Diffraction record for TiCoB4. The PXRD pattern is calculated, not measured: it uses DFT lattice parameters and positions (PBE) and a wavelength of 1.5418 Å.
Kinematic intensities with the Lorentz-polarization factor, no thermal factor.

Crystal structure
```
data_TiCoB4
_cell_length_a 5.7053
_cell_length_b 11.0654
_cell_length_c 3.0935
_cell_angle_alpha 90.00
_cell_angle_beta 90.00
_cell_angle_gamma 90.00
_space_group_name_H-M_alt 'P 1'
_space_group_IT_number 1
loop_
_space_group_symop_operation_xyz
'x,y,z'
loop_
_atom_site_label
_atom_site_fract_x
_atom_site_fract_y
_atom_site_fract_z
Ti1 0.1289 0.1519 0.0000
Ti2 0.3711 0.6519 0.0000
Ti3 0.6289 0.3481 0.0000
Ti4 0.8711 0.8481 0.0000
Co1 0.1384 0.4104 0.0000
Co2 0.3616 0.9104 0.0000
Co3 0.6384 0.0896 0.0000
Co4 0.8616 0.5896 0.0000
B1 0.0200 0.6957 0.5000
B2 0.1171 0.5494 0.5000
B3 0.1303 0.9676 0.5000
B4 0.2065 0.8122 0.5000
B5 0.2935 0.3122 0.5000
B6 0.3697 0.4676 0.5000
B7 0.3829 0.0494 0.5000
B8 0.4800 0.1957 0.5000
B9 0.5200 0.8043 0.5000
B10 0.6171 0.9506 0.5000
B11 0.6303 0.5324 0.5000
B12 0.7065 0.6878 0.5000
B13 0.7935 0.1878 0.5000
B14 0.8697 0.0324 0.5000
B15 0.8829 0.4506 0.5000
B16 0.9800 0.3043 0.5000
```

Principal peaks in the range 2θ from 10° to 80°, low angle first:
2theta, Rel. int.
28.86, 50
32.39, 68
39.95, 27
43.93, 100
46.85, 32
50.03, 41

---

Diffraction record for LiTbMgIn2. The PXRD pattern is calculated, not measured: it uses DFT lattice parameters and positions (PBE) and a wavelength of 1.5418 Å.
Kinematic intensities with the Lorentz-polarization factor, no thermal factor.

Crystal structure
```
data_LiTbMgIn2
_cell_length_a 5.7658
_cell_length_b 6.4364
_cell_length_c 6.3534
_cell_angle_alpha 90.00
_cell_angle_beta 90.00
_cell_angle_gamma 90.00
_space_group_name_H-M_alt 'P 1'
_space_group_IT_number 1
loop_
_space_group_symop_operation_xyz
'x,y,z'
loop_
_atom_site_label
_atom_site_fract_x
_atom_site_fract_y
_atom_site_fract_z
Li1 0.0000 0.0000 0.0000
Li2 0.5000 0.0000 0.0000
Tb1 0.2500 0.5000 0.2120
Tb2 0.7500 0.5000 0.7880
Mg1 0.2500 0.0000 0.3660
Mg2 0.7500 0.0000 0.6340
In1 0.2500 0.2676 0.7319
In2 0.2500 0.7324 0.7319
In3 0.7500 0.2676 0.2681
In4 0.7500 0.7324 0.2681
```

Principal peaks in the range 2θ from 10° to 80°, low angle first:
2theta, Rel. int.
13.76, 33
28.09, 37
31.02, 37
34.91, 100
42.34, 26
57.72, 23

---

Diffraction record for La3Pr5Nd3. The PXRD pattern is calculated, not measured: it uses DFT lattice parameters and positions (PBE) and a wavelength of 1.5418 Å.
Kinematic intensities with the Lorentz-polarization factor, no thermal factor.

Crystal structure
```
data_La3Pr5Nd3
_cell_length_a 11.5805
_cell_length_b 11.5805
_cell_length_c 3.5214
_cell_angle_alpha 90.00
_cell_angle_beta 90.00
_cell_angle_gamma 120.00
_space_group_name_H-M_alt 'P 1'
_space_group_IT_number 1
loop_
_space_group_symop_operation_xyz
'x,y,z'
loop_
_atom_site_label
_atom_site_fract_x
_atom_site_fract_y
_atom_site_fract_z
La1 0.0000 0.6020 0.0000
La2 0.3980 0.3980 0.0000
La3 0.6020 0.0000 0.0000
Pr1 0.0000 0.3390 0.5000
Pr2 0.3333 0.6667 0.5000
Pr3 0.3390 0.0000 0.5000
Pr4 0.6610 0.6610 0.5000
Pr5 0.6667 0.3333 0.5000
Nd1 0.0000 0.8395 0.5000
Nd2 0.1605 0.1605 0.5000
Nd3 0.8395 0.0000 0.5000
```

Principal peaks in the range 2θ from 10° to 80°, low angle first:
2theta, Rel. int.
26.67, 100
29.69, 100
32.18, 99
34.77, 78
40.33, 91
61.40, 43

---

Diffraction record for UTl3Se4. The PXRD pattern is calculated, not measured: it uses DFT lattice parameters and positions (PBE) and a wavelength of 1.5418 Å.
Kinematic intensities with the Lorentz-polarization factor, no thermal factor.

Crystal structure
```
data_UTl3Se4
_cell_length_a 8.0215
_cell_length_b 9.0603
_cell_length_c 7.4858
_cell_angle_alpha 90.00
_cell_angle_beta 109.19
_cell_angle_gamma 90.00
_space_group_name_H-M_alt 'P 1'
_space_group_IT_number 1
loop_
_space_group_symop_operation_xyz
'x,y,z'
loop_
_atom_site_label
_atom_site_fract_x
_atom_site_fract_y
_atom_site_fract_z
U1 0.0000 0.1157 0.2500
U2 0.0000 0.8843 0.7500
Tl1 0.0000 0.3903 0.7500
Tl2 0.0000 0.6097 0.2500
Tl3 0.5000 0.1209 0.7500
Tl4 0.5000 0.3854 0.2500
Tl5 0.5000 0.6146 0.7500
Tl6 0.5000 0.8791 0.2500
Se1 0.1978 0.1037 0.9990
Se2 0.1978 0.8963 0.4990
Se3 0.2186 0.3256 0.4567
Se4 0.2186 0.6744 0.9567
Se5 0.7814 0.3256 0.0433
Se6 0.7814 0.6744 0.5433
Se7 0.8022 0.1037 0.5010
Se8 0.8022 0.8963 0.0010
```

Principal peaks in the range 2θ from 10° to 80°, low angle first:
2theta, Rel. int.
23.49, 20
24.19, 35
27.99, 100
28.31, 52
39.13, 38
41.31, 35